Entry 1:
# Ce4Se3N2
Theoretical powder X-ray diffraction pattern, copper Kα. Input: a structure optimized by DFT (GGA-PBE).
Intensities are scaled so that the largest is 100.

Cell and atoms:
```
18
Lattice="6.485 -5.025 0.000 6.485 5.025 0.000 -0.021 0.000 6.417" Properties=species:S:1:pos:R:3 pbc="T T T"
Ce 4.861 3.202 3.401
Ce 4.352 0.775 0.471
Ce 8.076 3.202 6.225
Ce 4.341 -0.775 3.679
Ce 8.607 0.775 2.738
Ce 4.872 -3.202 0.192
Ce 8.596 -0.775 5.946
Ce 8.087 -3.202 3.016
Se 4.991 3.726 0.215
Se 7.967 3.726 2.994
Se 6.469 0.989 4.813
Se 6.479 -0.989 1.604
Se 4.981 -3.726 3.423
Se 7.957 -3.726 6.202
N 3.800 1.264 2.654
N 3.790 -1.264 5.863
N 9.158 1.264 0.554
N 9.148 -1.264 3.762
```

Main lines, low angle first (15° ≤ 2θ ≤ 90°):
2theta  I_rel
26.40  93
27.51  100
27.81  64
30.89  76
31.07  54
35.75  81
36.74  37
39.50  57
39.58  49
46.47  26

=====

Entry 2:
# ErSi
Theoretical powder X-ray diffraction pattern, copper Kα. Input: a structure optimized by DFT (GGA-PBE).
Intensities are scaled so that the largest is 100.

Cell and atoms:
```
8
Lattice="4.239 0.000 0.000 0.000 10.435 0.000 0.000 0.000 3.804" Properties=species:S:1:pos:R:3 pbc="T T T"
Er 0.000 1.463 0.951
Er 0.000 8.972 2.853
Er 2.119 3.755 2.853
Er 2.119 6.681 0.951
Si 0.000 4.411 0.951
Si 0.000 6.024 2.853
Si 2.119 0.807 2.853
Si 2.119 9.628 0.951
```

Main lines, low angle first (15° ≤ 2θ ≤ 90°):
2theta  I_rel
22.64  39
29.05  66
32.77  100
33.32  53
34.38  30
41.11  31
42.66  23
52.44  26
54.63  23
59.53  20

=====

Entry 3:
# Rb2MgCl4
Theoretical powder X-ray diffraction pattern, copper Kα. Input: a structure optimized by DFT (GGA-PBE).
Intensities are scaled so that the largest is 100.

Cell and atoms:
```
14
Lattice="5.059 0.000 0.000 0.000 5.059 0.000 0.000 0.000 16.385" Properties=species:S:1:pos:R:3 pbc="T T T"
Rb 0.000 0.000 2.354
Rb 0.000 0.000 14.031
Rb 2.529 2.529 5.838
Rb 2.529 2.529 10.547
Mg 0.000 0.000 8.193
Mg 2.529 2.529 0.000
Cl 0.000 0.000 5.670
Cl 0.000 0.000 10.715
Cl 0.000 2.529 0.000
Cl 0.000 2.529 8.193
Cl 2.529 0.000 0.000
Cl 2.529 0.000 8.193
Cl 2.529 2.529 2.523
Cl 2.529 2.529 13.862
```

Main lines, low angle first (15° ≤ 2θ ≤ 90°):
2theta  I_rel
23.98  44
24.89  66
27.20  35
32.80  30
33.25  100
35.49  75
49.09  35
51.07  25
62.32  45
84.67  21

=====

Entry 4:
# NbH
Theoretical powder X-ray diffraction pattern, copper Kα. Input: a structure optimized by DFT (GGA-PBE).
Intensities are scaled so that the largest is 100.

Cell and atoms:
```
8
Lattice="3.647 0.000 0.000 0.000 4.823 0.000 0.000 0.000 4.826" Properties=species:S:1:pos:R:3 pbc="T T T"
Nb 0.000 1.206 1.119
Nb 0.000 3.617 3.707
Nb 1.824 1.206 3.707
Nb 1.824 3.617 1.119
H 0.912 0.000 2.413
H 0.912 2.412 2.413
H 2.735 0.000 2.413
H 2.735 2.412 2.413
```

Main lines, low angle first (15° ≤ 2θ ≤ 90°):
2theta  I_rel
36.05  100
37.27  44
49.05  2
50.02  10
53.74  15
64.01  18
66.42  30
76.47  10
79.46  5
84.63  8

=====

Entry 5:
# TeMoWSeS2
Theoretical powder X-ray diffraction pattern, copper Kα. Input: a structure optimized by DFT (GGA-PBE).
Intensities are scaled so that the largest is 100.

Cell and atoms:
```
12
Lattice="3.310 0.000 0.000 -1.655 2.867 0.000 0.000 0.000 37.637" Properties=species:S:1:pos:R:3 pbc="T T T"
Te 0.000 0.000 0.000
Te 0.000 0.000 3.848
Mo 0.000 0.000 32.489
Mo 0.000 1.911 25.420
W 0.000 0.000 18.348
W 0.000 1.911 1.925
Se 0.000 1.911 16.660
Se 0.000 1.911 20.037
S 0.000 0.000 23.892
S 0.000 0.000 26.947
S 0.000 1.911 30.963
S 0.000 1.911 34.015
```

Main lines, low angle first (15° ≤ 2θ ≤ 90°):
2theta  I_rel
31.20  39
31.57  18
33.45  19
34.39  22
36.71  100
39.51  32
44.47  49
55.52  28
68.42  16
78.68  15

=====

Entry 6:
# TaNiTe5
Theoretical powder X-ray diffraction pattern, copper Kα. Input: a structure optimized by DFT (GGA-PBE).
Intensities are scaled so that the largest is 100.

Cell and atoms:
```
14
Lattice="1.855 -6.967 0.000 1.855 6.967 0.000 0.000 0.000 15.255" Properties=species:S:1:pos:R:3 pbc="T T T"
Ta 1.855 6.831 11.441
Ta 1.855 -6.831 3.814
Ni 1.855 0.000 0.000
Ni 1.855 0.000 7.627
Te 1.855 5.581 8.786
Te 1.855 5.581 14.097
Te 1.855 2.300 3.814
Te 1.855 1.358 9.851
Te 1.855 1.358 13.032
Te 1.855 -1.358 2.223
Te 1.855 -1.358 5.404
Te 1.855 -2.300 11.441
Te 1.855 -5.581 1.158
Te 1.855 -5.581 6.469
```

Main lines, low angle first (15° ≤ 2θ ≤ 90°):
2theta  I_rel
30.51  60
31.41  68
32.03  83
33.06  100
34.88  39
35.65  40
42.26  42
43.64  68
45.74  41
49.11  34

=====

Entry 7:
# PrN
Theoretical powder X-ray diffraction pattern, copper Kα. Input: a structure optimized by DFT (GGA-PBE).
Intensities are scaled so that the largest is 100.

Cell and atoms:
```
2
Lattice="3.545 0.000 0.000 -1.773 3.070 0.000 0.000 0.000 3.222" Properties=species:S:1:pos:R:3 pbc="T T T"
Pr 0.000 0.000 0.000
N 1.773 1.023 1.611
```

Main lines, low angle first (15° ≤ 2θ ≤ 90°):
2theta  I_rel
27.68  33
29.09  100
40.59  98
51.56  26
59.52  25
60.29  13
65.42  20
67.60  21
80.57  14
89.84  20

=====

Number 7 is which compound?
PrN